[1]
For NaIn6O8, a cell relaxed with GGA-PBE gives the computed XRD peak list in this record (Cu Kα (weighted mean of Kα1 and Kα2)).
Kinematic intensities with the Lorentz-polarization factor, no thermal factor.

Atomic structure:
Cell: 6.920 6.920 6.920 Å, 63.91 63.91 63.91°
Sites, in units of the cell vectors:
1 Na 0.000 0.000 0.000
2 In 0.090 0.594 0.594
3 In 0.406 0.406 0.910
4 In 0.406 0.910 0.406
5 In 0.594 0.090 0.594
6 In 0.594 0.594 0.090
7 In 0.910 0.406 0.406
8 O 0.221 0.730 0.730
9 O 0.270 0.270 0.779
10 O 0.270 0.779 0.270
11 O 0.274 0.274 0.274
12 O 0.726 0.726 0.726
13 O 0.730 0.221 0.730
14 O 0.730 0.730 0.221
15 O 0.779 0.270 0.270

Most intense lines, 10 to 90 degrees two-theta, low angle first:
d [Å]  I (rel.)
5.917  37
3.114  100
2.739  32
2.282  42
1.831  39
1.522  29

[2]
For Ti6Os5W, a cell relaxed with GGA-PBE gives the computed XRD peak list in this record (Cu Kα (weighted mean of Kα1 and Kα2)).
Kinematic intensities with the Lorentz-polarization factor, no thermal factor.

Atomic structure:
Cell: 7.601 7.601 7.601 Å, 146.41 131.84 60.00°
Sites, in units of the cell vectors:
1 Ti 0.082 0.333 0.750
2 Ti 0.248 0.000 0.248
3 Ti 0.417 0.667 0.750
4 Ti 0.583 0.333 0.250
5 Ti 0.752 0.000 0.752
6 Ti 0.918 0.667 0.250
7 Os 0.000 0.500 0.500
8 Os 0.167 0.167 0.000
9 Os 0.333 0.833 0.500
10 Os 0.667 0.167 0.500
11 Os 0.833 0.833 0.000
12 W 0.500 0.500 0.000

Most intense lines, 10 to 90 degrees two-theta, low angle first:
d [Å]  I (rel.)
3.104  45
2.195  100
1.792  13
1.552  17
1.388  18
1.267  34

[3]
For K3Bi5Pd6, a cell relaxed with GGA-PBE gives the computed XRD peak list in this record (Cu Kα (weighted mean of Kα1 and Kα2)).
Kinematic intensities with the Lorentz-polarization factor, no thermal factor.

Atomic structure:
Cell: 9.082 9.082 9.082 Å, 149.52 99.11 88.85°
Sites, in units of the cell vectors:
1 K 0.000 0.000 0.000
2 K 0.278 0.278 0.000
3 K 0.722 0.722 0.000
4 Bi 0.031 0.340 0.692
5 Bi 0.352 0.660 0.692
6 Bi 0.500 0.000 0.500
7 Bi 0.648 0.340 0.308
8 Bi 0.969 0.660 0.308
9 Pd 0.179 0.884 0.295
10 Pd 0.359 0.500 0.859
11 Pd 0.411 0.116 0.295
12 Pd 0.589 0.884 0.705
13 Pd 0.641 0.500 0.141
14 Pd 0.821 0.116 0.705

Most intense lines, 10 to 90 degrees two-theta, low angle first:
d [Å]  I (rel.)
8.722  61
5.892  97
2.841  72
2.748  66
2.387  71
2.215  100

[4]
For YEr2Tm4, a cell relaxed with GGA-PBE gives the computed XRD peak list in this record (Cu Kα (weighted mean of Kα1 and Kα2)).
Kinematic intensities with the Lorentz-polarization factor, no thermal factor.

Atomic structure:
Cell: 5.993 8.251 9.376 Å, 88.85 77.98 72.49°
Sites, in units of the cell vectors:
1 Y 0.000 0.000 0.000
2 Y 0.280 0.155 0.263
3 Er 0.114 0.559 0.127
4 Er 0.165 0.490 0.493
5 Er 0.272 0.048 0.625
6 Er 0.368 0.630 0.773
7 Tm 0.015 0.886 0.359
8 Tm 0.466 0.212 0.903
9 Tm 0.548 0.778 0.068
10 Tm 0.606 0.688 0.420
11 Tm 0.675 0.365 0.199
12 Tm 0.731 0.266 0.548
13 Tm 0.812 0.838 0.713
14 Tm 0.911 0.418 0.845

Most intense lines, 10 to 90 degrees two-theta, low angle first:
d [Å]  I (rel.)
2.970  46
2.835  70
2.803  100
2.792  88
2.667  61
2.638  84

[5]
For Na2LiZr2O6, a cell relaxed with GGA-PBE gives the computed XRD peak list in this record (Cu Kα (weighted mean of Kα1 and Kα2)).
Kinematic intensities with the Lorentz-polarization factor, no thermal factor.

Atomic structure:
Cell: 5.721 5.721 5.742 Å, 96.98 96.98 123.27°
Sites, in units of the cell vectors:
1 Na 0.153 0.847 0.000
2 Na 0.847 0.153 0.000
3 Li 0.000 0.000 0.500
4 Zr 0.340 0.660 0.500
5 Zr 0.660 0.340 0.500
6 O 0.047 0.432 0.711
7 O 0.272 0.272 0.320
8 O 0.432 0.047 0.711
9 O 0.568 0.953 0.289
10 O 0.728 0.728 0.680
11 O 0.953 0.568 0.289

Most intense lines, 10 to 90 degrees two-theta, low angle first:
d [Å]  I (rel.)
5.551  100
5.034  30
4.049  53
3.227  23
2.391  74
2.211  31

[6]
For CePm2Ge3Ir4, a cell relaxed with GGA-PBE gives the computed XRD peak list in this record (Cu Kα (weighted mean of Kα1 and Kα2)).
Kinematic intensities with the Lorentz-polarization factor, no thermal factor.

Atomic structure:
Cell: 4.248 4.248 11.087 Å, 90.00 90.00 90.00°
Sites, in units of the cell vectors:
1 Ce 0.000 0.000 0.000
2 Pm 0.000 0.500 0.723
3 Pm 0.500 0.000 0.277
4 Ge 0.000 0.500 0.376
5 Ge 0.500 0.000 0.624
6 Ge 0.500 0.500 0.000
7 Ir 0.000 0.000 0.500
8 Ir 0.000 0.500 0.154
9 Ir 0.500 0.000 0.846
10 Ir 0.500 0.500 0.500

Most intense lines, 10 to 90 degrees two-theta, low angle first:
d [Å]  I (rel.)
2.788  25
2.641  100
2.124  54
2.037  30
1.966  19
1.305  22